# 1
This entry pairs a crystal structure of TiAl with its simulated X-ray diffraction stick pattern. Radiation: Cu Kα (weighted mean of Kα1 and Kα2). Structure: a GGA-PBE-relaxed structure.
Neutral-atom scattering factors, no anomalous dispersion.

Structural model:
```
data_TiAl
_cell_length_a 2.824
_cell_length_b 2.824
_cell_length_c 4.065
_cell_angle_alpha 90.00
_cell_angle_beta 90.00
_cell_angle_gamma 90.00
_symmetry_space_group_name_H-M 'P 4/m m m'
_symmetry_Int_Tables_number 123
_symmetry_space_group_name_Hall '-P 4 2'
loop_
_atom_site_label
_atom_site_type_symbol
_atom_site_fract_x
_atom_site_fract_y
_atom_site_fract_z
Ti1 Ti 0.000 0.000 0.000
Al1 Al 0.500 0.500 0.500
```

Main lines, low angle first (2θ from 10° to 90°):
| two_theta | I_rel | (hkl) |
| --- | --- | --- |
| 38.83 | 100.0 | 1 0 1 |
| 44.58 | 16.4 | 0 0 2 |
| 45.42 | 31.0 | 1 1 0 |
| 65.53 | 19.2 | 1 1 2 |
| 66.18 | 9.3 | 2 0 0 |
| 78.26 | 11.2 | 1 0 3 |
| 79.46 | 21.4 | 2 1 1 |
| 83.33 | 9.4 | 2 0 2 |


# 2
This entry pairs a crystal structure of TiAl with its simulated X-ray diffraction stick pattern. Radiation: Cu Kα (weighted mean of Kα1 and Kα2). Structure: a GGA-PBE-relaxed structure.
Neutral-atom scattering factors, no anomalous dispersion.

Structural model:
```
data_TiAl
_cell_length_a 2.8673
_cell_length_b 2.8673
_cell_length_c 4.6781
_cell_angle_alpha 90.00
_cell_angle_beta 90.00
_cell_angle_gamma 120.00
_symmetry_space_group_name_H-M 'P -6 m 2'
_symmetry_Int_Tables_number 187
_symmetry_space_group_name_Hall 'P -6 2'
loop_
_atom_site_label
_atom_site_type_symbol
_atom_site_fract_x
_atom_site_fract_y
_atom_site_fract_z
Ti1 Ti 0.0000 0.0000 0.0000
Al1 Al 0.3333 0.6667 0.5000
```

Main lines, low angle first (2θ from 10° to 90°):
| two_theta | I_rel | (hkl) |
| --- | --- | --- |
| 18.97 | 13.0 | 0 0 1 |
| 36.17 | 29.3 | 1 0 0 |
| 38.49 | 26.6 | 0 0 2 |
| 41.16 | 100.0 | 1 0 1 |
| 53.85 | 16.7 | 1 0 2 |
| 65.06 | 15.2 | 1 1 0 |
| 71.43 | 17.4 | 1 0 3 |
| 78.20 | 17.3 | 1 1 2 |


# 3
This entry pairs a crystal structure of TiAl with its simulated X-ray diffraction stick pattern. Radiation: Cu Kα (weighted mean of Kα1 and Kα2). Structure: a GGA-PBE-relaxed structure.
Neutral-atom scattering factors, no anomalous dispersion.

Structural model:
```
data_TiAl
_cell_length_a 3.179
_cell_length_b 3.179
_cell_length_c 3.179
_cell_angle_alpha 90.00
_cell_angle_beta 90.00
_cell_angle_gamma 90.00
_symmetry_space_group_name_H-M 'P m -3 m'
_symmetry_Int_Tables_number 221
_symmetry_space_group_name_Hall '-P 4 2 3'
loop_
_atom_site_label
_atom_site_type_symbol
_atom_site_fract_x
_atom_site_fract_y
_atom_site_fract_z
Ti1 Ti 0.000 0.000 0.000
Al1 Al 0.500 0.500 0.500
```

Main lines, low angle first (2θ from 10° to 90°):
| two_theta | I_rel | (hkl) |
| --- | --- | --- |
| 28.07 | 10.4 | 1 0 0 |
| 40.11 | 100.0 | 1 1 0 |
| 49.67 | 2.3 | 1 1 1 |
| 58.02 | 15.6 | 2 0 0 |
| 65.67 | 2.4 | 2 1 0 |
| 72.88 | 30.4 | 2 1 1 |
| 86.61 | 9.4 | 2 2 0 |


# 4
This entry pairs a crystal structure of Ti2Al3 with its simulated X-ray diffraction stick pattern. Radiation: Cu Kα (weighted mean of Kα1 and Kα2). Structure: a GGA-PBE-relaxed structure.
Neutral-atom scattering factors, no anomalous dispersion.

Structural model:
```
data_Ti2Al3
_cell_length_a 6.119
_cell_length_b 6.119
_cell_length_c 18.687
_cell_angle_alpha 90.00
_cell_angle_beta 90.00
_cell_angle_gamma 90.00
_symmetry_space_group_name_H-M 'I 41/a m d'
_symmetry_Int_Tables_number 141
loop_
_symmetry_equiv_pos_as_xyz
'x,y,z'
'-x,-y,-z'
'-y+1/4,x+3/4,z+1/4'
'y+1/4,-x+3/4,-z+1/4'
'-x+1/2,-y,z+1/2'
'x+1/2,y,-z+1/2'
'y+1/4,-x+1/4,z+3/4'
'-y+1/4,x+1/4,-z+3/4'
'x,-y,-z'
'-x,y,z'
'-y+1/4,-x+1/4,-z+3/4'
'y+1/4,x+1/4,z+3/4'
'-x+1/2,y,-z+1/2'
'x+1/2,-y,z+1/2'
'y+1/4,x+3/4,-z+1/4'
'-y+1/4,-x+3/4,z+1/4'
'x+1/2,y+1/2,z+1/2'
'-x+1/2,-y+1/2,-z+1/2'
'-y+3/4,x+1/4,z+3/4'
'y+3/4,-x+1/4,-z+3/4'
'-x,-y+1/2,z'
'x,y+1/2,-z'
'y+3/4,-x+3/4,z+1/4'
'-y+3/4,x+3/4,-z+1/4'
'x+1/2,-y+1/2,-z+1/2'
'-x+1/2,y+1/2,z+1/2'
'-y+3/4,-x+3/4,-z+1/4'
'y+3/4,x+3/4,z+1/4'
'-x,y+1/2,-z'
'x,-y+1/2,z'
'y+3/4,x+1/4,-z+3/4'
'-y+3/4,-x+1/4,z+3/4'
loop_
_atom_site_label
_atom_site_type_symbol
_atom_site_fract_x
_atom_site_fract_y
_atom_site_fract_z
Ti1 Ti 0.000 0.018 0.167
Al1 Al 0.000 0.000 0.000
Al2 Al 0.000 0.026 0.324
```

Main lines, low angle first (2θ from 10° to 90°):
| two_theta | I_rel | (hkl) |
| --- | --- | --- |
| 15.24 | 12.9 | 1 0 1 |
| 30.75 | 22.2 | 2 0 2 |
| 33.09 | 15.1 | 2 1 1 |
| 41.37 | 100.0 | 2 0 6 |
| 41.75 | 49.0 | 2 2 0 |
| 60.53 | 14.3 | 4 0 0 |
| 75.18 | 13.3 | 2 2 12 |
| 75.97 | 26.4 | 4 2 6 |


# 5
This entry pairs a crystal structure of Ti2AlV with its simulated X-ray diffraction stick pattern. Radiation: Cu Kα (weighted mean of Kα1 and Kα2). Structure: a GGA-PBE-relaxed structure.
Neutral-atom scattering factors, no anomalous dispersion.

Structural model:
```
data_Ti2AlV
_cell_length_a 6.337
_cell_length_b 6.337
_cell_length_c 6.337
_cell_angle_alpha 90.00
_cell_angle_beta 90.00
_cell_angle_gamma 90.00
_symmetry_space_group_name_H-M 'F -4 3 m'
_symmetry_Int_Tables_number 216
_symmetry_space_group_name_Hall 'F -4 2 3'
loop_
_atom_site_label
_atom_site_type_symbol
_atom_site_fract_x
_atom_site_fract_y
_atom_site_fract_z
Ti1 Ti 0.000 0.000 0.000
Ti2 Ti 0.250 0.250 0.250
Al1 Al 0.000 0.000 0.500
V1 V 0.250 0.250 0.750
```

Main lines, low angle first (2θ from 10° to 90°):
| two_theta | I_rel | (hkl) |
| --- | --- | --- |
| 24.33 | 3.9 | 1 1 1 |
| 28.16 | 2.5 | 2 0 0 |
| 40.25 | 100.0 | 2 2 0 |
| 47.59 | 1.6 | 3 1 1 |
| 58.24 | 15.3 | 4 0 0 |
| 65.92 | 0.6 | 4 2 0 |
| 73.16 | 29.4 | 4 2 2 |
| 86.97 | 9.1 | 4 4 0 |


# 6
This entry pairs a crystal structure of TiAl2V with its simulated X-ray diffraction stick pattern. Radiation: Cu Kα (weighted mean of Kα1 and Kα2). Structure: a GGA-PBE-relaxed structure.
Neutral-atom scattering factors, no anomalous dispersion.

Structural model:
```
data_TiAl2V
_cell_length_a 2.756
_cell_length_b 2.756
_cell_length_c 8.037
_cell_angle_alpha 90.00
_cell_angle_beta 90.00
_cell_angle_gamma 90.00
_symmetry_space_group_name_H-M 'P 4/m m m'
_symmetry_Int_Tables_number 123
_symmetry_space_group_name_Hall '-P 4 2'
loop_
_atom_site_label
_atom_site_type_symbol
_atom_site_fract_x
_atom_site_fract_y
_atom_site_fract_z
Ti1 Ti 0.000 0.000 0.000
Al1 Al 0.500 0.500 0.260
V1 V 0.000 0.000 0.500
```

Main lines, low angle first (2θ from 10° to 90°):
| two_theta | I_rel | (hkl) |
| --- | --- | --- |
| 22.12 | 10.4 | 0 0 2 |
| 39.65 | 100.0 | 1 0 2 |
| 45.12 | 16.5 | 0 0 4 |
| 46.60 | 30.6 | 1 1 0 |
| 66.88 | 18.8 | 1 1 4 |
| 79.57 | 10.8 | 1 0 6 |
| 81.72 | 21.0 | 2 1 2 |
| 85.43 | 9.2 | 2 0 4 |


# 7
This entry pairs a crystal structure of ZrTi2Al with its simulated X-ray diffraction stick pattern. Radiation: Cu Kα (weighted mean of Kα1 and Kα2). Structure: a GGA-PBE-relaxed structure.
Neutral-atom scattering factors, no anomalous dispersion.

Structural model:
```
data_ZrTi2Al
_cell_length_a 4.795
_cell_length_b 5.936
_cell_length_c 10.268
_cell_angle_alpha 90.00
_cell_angle_beta 90.00
_cell_angle_gamma 90.00
_symmetry_space_group_name_H-M 'A m m 2'
_symmetry_Int_Tables_number 38
loop_
_symmetry_equiv_pos_as_xyz
'x,y,z'
'-x,-y,z'
'-x,y,z'
'x,-y,z'
'x,y+1/2,z+1/2'
'-x,-y+1/2,z+1/2'
'-x,y+1/2,z+1/2'
'x,-y+1/2,z+1/2'
loop_
_atom_site_label
_atom_site_type_symbol
_atom_site_fract_x
_atom_site_fract_y
_atom_site_fract_z
Zr1 Zr 0.000 0.249 0.000
Ti1 Ti 0.000 0.000 0.246
Ti2 Ti 0.500 0.000 0.589
Ti3 Ti 0.500 0.245 0.826
Al1 Al 0.000 0.000 0.749
Al2 Al 0.500 0.000 0.087
```

Main lines, low angle first (2θ from 10° to 90°):
| two_theta | I_rel | (hkl) |
| --- | --- | --- |
| 25.42 | 17.0 | 1 0 2 |
| 34.93 | 27.4 | 0 0 4 |
| 37.51 | 26.2 | 2 0 0 |
| 39.81 | 100.0 | 1 2 2 |
| 52.19 | 16.5 | 2 0 4 |
| 62.64 | 15.7 | 0 4 0 |
| 69.23 | 17.7 | 3 2 2 |
| 75.36 | 17.7 | 2 4 0 |


# 8
This entry pairs a crystal structure of TmAl with its simulated X-ray diffraction stick pattern. Radiation: Cu Kα (weighted mean of Kα1 and Kα2). Structure: a GGA-PBE-relaxed structure.
Neutral-atom scattering factors, no anomalous dispersion.

Structural model:
```
data_TmAl
_cell_length_a 5.795
_cell_length_b 11.288
_cell_length_c 5.555
_cell_angle_alpha 90.00
_cell_angle_beta 90.00
_cell_angle_gamma 90.00
_symmetry_space_group_name_H-M 'P b c m'
_symmetry_Int_Tables_number 57
loop_
_symmetry_equiv_pos_as_xyz
'x,y,z'
'-x,-y,-z'
'-x,-y,z+1/2'
'x,y,-z+1/2'
'x,-y+1/2,-z'
'-x,y+1/2,z'
'-x,y+1/2,-z+1/2'
'x,-y+1/2,z+1/2'
loop_
_atom_site_label
_atom_site_type_symbol
_atom_site_fract_x
_atom_site_fract_y
_atom_site_fract_z
Tm1 Tm 0.103 0.169 0.250
Tm2 Tm 0.339 0.018 0.750
Al1 Al 0.159 0.597 0.750
Al2 Al 0.431 0.750 0.000
```

Main lines, low angle first (2θ from 10° to 90°):
| two_theta | I_rel | (hkl) |
| --- | --- | --- |
| 17.20 | 24.6 | 1 1 0 |
| 21.98 | 37.0 | 1 2 0 |
| 27.28 | 39.3 | 1 2 1 |
| 32.23 | 50.2 | 0 0 2 |
| 32.64 | 100.0 | 1 3 1 |
| 35.69 | 38.9 | 0 4 1 |
| 35.85 | 88.1 | 2 1 1 |
| 39.36 | 32.5 | 1 2 2 |